No. 1
The following is a theoretical X-ray diffraction stick pattern of CeGa6Mo. It was derived from the GGA-PBE geometry in Alexandria, using Cu Ka.
Lines closer than 0.1° are merged.

Largest 6 diffraction maxima, in order of falling intensity, 5 to 70 degrees two-theta:
d [Å]	two_theta	intensity
2.268	39.8	100
2.539	35.4	85
1.990	45.6	41
1.496	62.0	27
1.356	69.3	11
4.535	19.6	11

Crystal structure
Cell lengths 5.2377, 5.2377, 6.1273 Å; angles 90.05, 90.05, 120.04 degrees
Fractional positions:
Ce  0.0000  0.0000  0.0000
Ga  0.0004  0.5003  0.2774
Ga  0.9996  0.4997  0.7226
Ga  0.5003  0.0004  0.2774
Ga  0.4997  0.9996  0.7226
Ga  0.5001  0.5001  0.2770
Ga  0.4999  0.4999  0.7230
Mo  0.0000  0.0000  0.5000

***

No. 2
The following is a theoretical X-ray diffraction stick pattern of Ce2NbGaN5. It was derived from the GGA-PBE geometry in Alexandria, using Cu Ka.
Lines closer than 0.1° are merged.

Largest 6 diffraction maxima, in order of falling intensity, 5 to 70 degrees two-theta:
d [Å]	two_theta	intensity
2.845	31.4	100
2.707	33.1	65
2.670	33.6	62
2.327	38.7	61
3.042	29.4	49
1.423	65.6	39

Crystal structure
Cell lengths 7.0583, 7.0583, 10.1776 Å; angles 90.00, 90.00, 153.06 degrees
Fractional positions:
Ce  0.1195  0.8805  0.5000
Ce  0.1315  0.8685  0.0794
Ce  0.8685  0.1315  0.5794
Ce  0.8805  0.1195  0.0000
Nb  0.2186  0.7814  0.7976
Nb  0.7814  0.2186  0.2976
Ga  0.4870  0.5130  0.2734
Ga  0.5130  0.4870  0.7734
N  0.0592  0.9408  0.8458
N  0.2850  0.7150  0.4422
N  0.2986  0.7014  0.1588
N  0.3633  0.6367  0.8033
N  0.4987  0.5013  0.5800
N  0.5013  0.4987  0.0800
N  0.6367  0.3633  0.3033
N  0.7014  0.2986  0.6588
N  0.7150  0.2850  0.9422
N  0.9408  0.0592  0.3458

***

No. 3
The following is a theoretical X-ray diffraction stick pattern of Ce2ThGaN5. It was derived from the GGA-PBE geometry in Alexandria, using Cu Ka.
Lines closer than 0.1° are merged.

Largest 6 diffraction maxima, in order of falling intensity, 5 to 70 degrees two-theta:
d [Å]	two_theta	intensity
2.773	32.3	100
2.300	39.2	83
2.119	42.7	79
2.953	30.3	66
3.104	28.8	63
4.109	21.6	60

Crystal structure
Cell lengths 8.3789, 8.3789, 9.4968 Å; angles 90.00, 90.00, 156.45 degrees
Fractional positions:
Ce  0.0942  0.9058  0.5000
Ce  0.1023  0.8977  0.1215
Ce  0.8977  0.1023  0.6215
Ce  0.9058  0.0942  0.0000
Th  0.2165  0.7835  0.8252
Th  0.7835  0.2165  0.3252
Ga  0.4514  0.5486  0.2873
Ga  0.5486  0.4514  0.7873
N  0.0395  0.9605  0.8800
N  0.3129  0.6871  0.5034
N  0.3413  0.6587  0.1808
N  0.3636  0.6364  0.8422
N  0.4944  0.5056  0.6039
N  0.5056  0.4944  0.1039
N  0.6364  0.3636  0.3422
N  0.6587  0.3413  0.6808
N  0.6871  0.3129  0.0034
N  0.9605  0.0395  0.3800

***

No. 4
The following is a theoretical X-ray diffraction stick pattern of NaCeGa. It was derived from the GGA-PBE geometry in Alexandria, using Cu Ka.
Lines closer than 0.1° are merged.

Largest 6 diffraction maxima, in order of falling intensity, 5 to 70 degrees two-theta:
d [Å]	two_theta	intensity
3.427	26.0	100
2.550	35.2	96
6.613	13.4	96
2.702	33.2	83
2.381	37.8	70
2.205	40.9	63

Crystal structure
Cell lengths 7.7321, 7.2453, 4.9815 Å; angles 75.95, 65.37, 38.68 degrees
Fractional positions:
Na  0.1663  0.8337  0.1663
Na  0.8337  0.1663  0.8337
Ce  0.2500  0.2500  0.2500
Ce  0.7500  0.7500  0.7500
Ga  0.3969  0.3969  0.6031
Ga  0.6031  0.6031  0.3969

***

No. 5
The following is a theoretical X-ray diffraction stick pattern of Na2CeGa2O6. It was derived from the GGA-PBE geometry in Alexandria, using Cu Ka.
Lines closer than 0.1° are merged.

Largest 6 diffraction maxima, in order of falling intensity, 5 to 70 degrees two-theta:
d [Å]	two_theta	intensity
5.748	15.4	100
1.976	45.9	67
2.459	36.5	53
2.721	32.9	51
3.644	24.4	20
1.571	58.8	19

Crystal structure
Cell lengths 5.4412, 5.4412, 5.7479 Å; angles 90.00, 90.00, 120.00 degrees
Fractional positions:
Na  0.3333  0.6667  0.0000
Na  0.6667  0.3333  0.0000
Ce  0.0000  0.0000  0.5000
Ga  0.3333  0.6667  0.5000
Ga  0.6667  0.3333  0.5000
O  0.0000  0.3663  0.6919
O  0.0000  0.6337  0.3081
O  0.3663  0.0000  0.6919
O  0.3663  0.3663  0.3081
O  0.6337  0.0000  0.3081
O  0.6337  0.6337  0.6919

***

No. 6
The following is a theoretical X-ray diffraction stick pattern of NaCeGa4S8. It was derived from the GGA-PBE geometry in Alexandria, using Cu Ka.
Lines closer than 0.1° are merged.

Largest 6 diffraction maxima, in order of falling intensity, 5 to 70 degrees two-theta:
d [Å]	two_theta	intensity
3.669	24.3	100
2.339	38.5	85
2.977	30.0	49
7.237	12.2	46
2.862	31.3	40
2.564	35.0	35

Crystal structure
Cell lengths 14.4736, 11.9482, 11.9113 Å; angles 74.69, 52.77, 52.54 degrees
Fractional positions:
Na  0.1219  0.1219  0.6281
Na  0.3719  0.3719  0.8781
Na  0.6281  0.6281  0.1219
Na  0.8781  0.8781  0.3719
Ce  0.1250  0.1250  0.1250
Ce  0.3750  0.3750  0.3750
Ce  0.6250  0.6250  0.6250
Ce  0.8750  0.8750  0.8750
Ga  0.0317  0.4695  0.8588
Ga  0.1110  0.3845  0.3663
Ga  0.1400  0.8588  0.4695
Ga  0.1412  0.8600  0.9683
Ga  0.3618  0.6337  0.6155
Ga  0.3663  0.6382  0.1110
Ga  0.3845  0.1110  0.6382
Ga  0.4695  0.0317  0.1400
Ga  0.5305  0.9683  0.8600
Ga  0.6155  0.8890  0.3618
Ga  0.6337  0.3618  0.8890
Ga  0.6382  0.3663  0.3845
Ga  0.8588  0.1400  0.0317
Ga  0.8600  0.1412  0.5305
Ga  0.8890  0.6155  0.6337
Ga  0.9683  0.5305  0.1412
S  0.0776  0.5916  0.9174
S  0.0826  0.0867  0.9224
S  0.0867  0.0826  0.4084
S  0.0920  0.5765  0.4137
S  0.1517  0.3420  0.1606
S  0.1544  0.8394  0.6580
S  0.1606  0.8456  0.1517
S  0.1845  0.3155  0.6529
S  0.3155  0.1845  0.3472
S  0.3420  0.1517  0.8456
S  0.3472  0.6529  0.3155
S  0.3471  0.6528  0.8155
S  0.4084  0.9224  0.0867
S  0.4137  0.4179  0.0920
S  0.4179  0.4137  0.5765
S  0.4235  0.9080  0.5821
S  0.5765  0.0920  0.4179
S  0.5821  0.5863  0.4235
S  0.5863  0.5821  0.9080
S  0.5916  0.0776  0.9133
S  0.6529  0.3472  0.1845
S  0.6528  0.3471  0.6845
S  0.6580  0.8483  0.1544
S  0.6845  0.8155  0.6528
S  0.8155  0.6845  0.3471
S  0.8394  0.1544  0.8483
S  0.8456  0.1606  0.3420
S  0.8483  0.6580  0.8394
S  0.9080  0.4235  0.5863
S  0.9133  0.9174  0.5916
S  0.9174  0.9133  0.0776
S  0.9224  0.4084  0.0826

***

No. 7
The following is a theoretical X-ray diffraction stick pattern of CeNbGa6. It was derived from the GGA-PBE geometry in Alexandria, using Cu Ka.
Lines closer than 0.1° are merged.

Largest 6 diffraction maxima, in order of falling intensity, 5 to 70 degrees two-theta:
d [Å]	two_theta	intensity
2.293	39.3	100
2.552	35.2	83
2.006	45.2	34
1.510	61.4	21
4.586	19.4	11
1.508	61.5	11

Crystal structure
Cell lengths 5.2967, 5.2967, 6.1440 Å; angles 90.09, 90.09, 120.06 degrees
Fractional positions:
Ce  0.0000  0.0000  0.0000
Nb  0.0000  0.0000  0.5000
Ga  0.0002  0.5002  0.2762
Ga  0.9998  0.4998  0.7238
Ga  0.5002  0.0002  0.2762
Ga  0.4998  0.9998  0.7238
Ga  0.5002  0.5002  0.2776
Ga  0.4998  0.4998  0.7224

***

No. 8
The following is a theoretical X-ray diffraction stick pattern of Ce2NdGa6. It was derived from the GGA-PBE geometry in Alexandria, using Cu Ka.
Lines closer than 0.1° are merged.

Largest 6 diffraction maxima, in order of falling intensity, 5 to 70 degrees two-theta:
d [Å]	two_theta	intensity
2.787	32.1	100
2.138	42.3	42
1.504	61.7	27
1.697	54.1	23
2.117	42.7	14
3.703	24.0	10

Crystal structure
Cell lengths 7.4069, 7.4069, 4.2332 Å; angles 90.00, 90.00, 120.00 degrees
Fractional positions:
Ce  0.3333  0.6667  0.0000
Ce  0.6667  0.3333  0.0000
Nd  0.0000  0.0000  0.0000
Ga  0.0000  0.3340  0.5000
Ga  0.0000  0.6660  0.5000
Ga  0.3340  0.0000  0.5000
Ga  0.3340  0.3340  0.5000
Ga  0.6660  0.0000  0.5000
Ga  0.6660  0.6660  0.5000

***

No. 9
The following is a theoretical X-ray diffraction stick pattern of Ce2Nd5Ga5. It was derived from the GGA-PBE geometry in Alexandria, using Cu Ka.
Lines closer than 0.1° are merged.

Largest 6 diffraction maxima, in order of falling intensity, 5 to 70 degrees two-theta:
d [Å]	two_theta	intensity
2.587	34.7	100
2.899	30.8	41
2.613	34.3	33
3.057	29.2	21
2.485	36.1	19
1.494	62.1	18

Crystal structure
Cell lengths 5.1745, 5.1745, 14.2495 Å; angles 100.41, 100.41, 60.00 degrees
Fractional positions:
Ce  0.0713  0.0713  0.2141
Ce  0.9287  0.9287  0.7859
Nd  0.2194  0.2194  0.6584
Nd  0.3100  0.3100  0.9297
Nd  0.5000  0.5000  0.5000
Nd  0.6900  0.6900  0.0703
Nd  0.7806  0.7806  0.3416
Ga  0.0000  0.0000  0.0000
Ga  0.1432  0.1432  0.4300
Ga  0.4002  0.4002  0.2009
Ga  0.5998  0.5998  0.7991
Ga  0.8568  0.8568  0.5700

***

No. 10
The following is a theoretical X-ray diffraction stick pattern of CeNdGa. It was derived from the GGA-PBE geometry in Alexandria, using Cu Ka.
Lines closer than 0.1° are merged.

Largest 6 diffraction maxima, in order of falling intensity, 5 to 70 degrees two-theta:
d [Å]	two_theta	intensity
2.557	35.1	100
2.621	34.2	30
2.818	31.8	23
1.501	61.8	19
2.482	36.2	16
1.919	47.4	15

Crystal structure
Cell lengths 8.6254, 8.6254, 5.2420 Å; angles 90.00, 90.00, 157.08 degrees
Fractional positions:
Ce  0.2405  0.7595  0.7500
Ce  0.7595  0.2405  0.2500
Nd  0.4363  0.5637  0.2500
Nd  0.5637  0.4363  0.7500
Ga  0.1062  0.8938  0.2500
Ga  0.8938  0.1062  0.7500

***

No. 11
The following is a theoretical X-ray diffraction stick pattern of CeNdGa3. It was derived from the GGA-PBE geometry in Alexandria, using Cu Ka.
Lines closer than 0.1° are merged.

Largest 6 diffraction maxima, in order of falling intensity, 5 to 70 degrees two-theta:
d [Å]	two_theta	intensity
2.847	31.4	100
2.825	31.7	58
2.230	40.5	37
2.147	42.1	26
1.691	54.2	25
2.112	42.8	24

Crystal structure
Cell lengths 13.3010, 13.3010, 4.2242 Å; angles 90.00, 90.00, 161.42 degrees
Fractional positions:
Ce  0.2057  0.7943  0.7500
Ce  0.7943  0.2057  0.2500
Nd  0.0722  0.9278  0.2500
Nd  0.9278  0.0722  0.7500
Ga  0.3273  0.6727  0.7500
Ga  0.3818  0.6182  0.2500
Ga  0.4763  0.5237  0.2500
Ga  0.5237  0.4763  0.7500
Ga  0.6182  0.3818  0.7500
Ga  0.6727  0.3273  0.2500

***

No. 12
The following is a theoretical X-ray diffraction stick pattern of CeNdGaSn. It was derived from the GGA-PBE geometry in Alexandria, using Cu Ka.
Lines closer than 0.1° are merged.

Largest 6 diffraction maxima, in order of falling intensity, 5 to 70 degrees two-theta:
d [Å]	two_theta	intensity
2.386	37.7	100
2.948	30.3	100
2.862	31.3	79
2.158	41.9	73
2.693	33.3	69
1.723	53.2	49

Crystal structure
Cell lengths 4.3151, 4.3151, 11.4590 Å; angles 90.00, 90.00, 90.00 degrees
Fractional positions:
Ce  0.2500  0.7500  0.0000
Ce  0.7500  0.2500  0.0000
Nd  0.2500  0.2500  0.2787
Nd  0.7500  0.7500  0.7213
Ga  0.2500  0.2500  0.8021
Ga  0.7500  0.7500  0.1979
Sn  0.2500  0.2500  0.5551
Sn  0.7500  0.7500  0.4449